[1]
Starting from a crystal structure in Alexandria, relaxed with GGA-PBE, the X-ray diffraction stick pattern of Ag2SO4 was calculated for copper Kα.
Intensities are scaled so that the largest is 100.

Structural model:
```
data_Ag2SO4
_cell_length_a 8.474
_cell_length_b 6.846
_cell_length_c 6.415
_cell_angle_alpha 79.37
_cell_angle_beta 52.56
_cell_angle_gamma 48.07
_space_group_name_H-M_alt 'P 1'
_space_group_IT_number 1
_space_group_name_Hall 'P 1'
loop_
_atom_site_label
_atom_site_fract_x
_atom_site_fract_y
_atom_site_fract_z
Ag1 0.076 0.674 0.076
Ag2 0.326 0.924 0.326
Ag3 0.674 0.076 0.674
Ag4 0.924 0.326 0.924
S1 0.375 0.375 0.375
S2 0.625 0.625 0.625
O1 0.218 0.671 0.379
O2 0.233 0.379 0.671
O3 0.329 0.782 0.767
O4 0.379 0.233 0.218
O5 0.621 0.767 0.782
O6 0.671 0.218 0.233
O7 0.767 0.621 0.329
O8 0.782 0.329 0.621
```

The 10 most intense peaks (2θ = 10–80°), sorted by position:
2θ/deg, d/Å, I (rel.)
21.03, 4.223, 55
28.68, 3.113, 53
28.99, 3.080, 100
34.65, 2.589, 63
35.18, 2.551, 26
35.57, 2.524, 26
43.04, 2.101, 30
46.00, 1.973, 21
46.31, 1.960, 28
54.73, 1.677, 21



[2]
Starting from a crystal structure in Alexandria, relaxed with GGA-PBE, the X-ray diffraction stick pattern of Ag2S2O7 was calculated for copper Kα.
Intensities are scaled so that the largest is 100.

Structural model:
```
data_Ag2S2O7
_cell_length_a 7.005
_cell_length_b 7.117
_cell_length_c 7.141
_cell_angle_alpha 82.77
_cell_angle_beta 64.40
_cell_angle_gamma 83.31
_space_group_name_H-M_alt 'P 1'
_space_group_IT_number 1
_space_group_name_Hall 'P 1'
loop_
_atom_site_label
_atom_site_fract_x
_atom_site_fract_y
_atom_site_fract_z
Ag1 0.129 0.183 0.242
Ag2 0.281 0.352 0.674
Ag3 0.719 0.648 0.326
Ag4 0.871 0.817 0.758
S1 0.228 0.671 0.251
S2 0.350 0.852 0.819
S3 0.650 0.148 0.181
S4 0.772 0.329 0.749
O1 0.099 0.535 0.227
O2 0.100 0.841 0.344
O3 0.206 0.734 0.794
O4 0.259 0.041 0.885
O5 0.371 0.585 0.344
O6 0.404 0.740 0.016
O7 0.435 0.151 0.347
O8 0.565 0.849 0.653
O9 0.596 0.260 0.984
O10 0.629 0.415 0.656
O11 0.741 0.959 0.115
O12 0.794 0.266 0.206
O13 0.900 0.159 0.656
O14 0.901 0.465 0.773
```

The 10 most intense peaks (2θ = 10–80°), sorted by position:
2θ/deg, d/Å, I (rel.)
19.52, 4.547, 25
25.28, 3.523, 32
25.68, 3.469, 24
26.74, 3.334, 20
27.23, 3.274, 40
27.83, 3.206, 100
28.32, 3.151, 18
29.95, 2.983, 40
34.50, 2.600, 20
52.76, 1.735, 16



[3]
Starting from a crystal structure in Alexandria, relaxed with GGA-PBE, the X-ray diffraction stick pattern of AgS2O8 was calculated for copper Kα.
Intensities are scaled so that the largest is 100.

Structural model:
```
data_AgS2O8
_cell_length_a 6.216
_cell_length_b 6.216
_cell_length_c 5.197
_cell_angle_alpha 94.49
_cell_angle_beta 94.49
_cell_angle_gamma 76.49
_space_group_name_H-M_alt 'P 1'
_space_group_IT_number 1
_space_group_name_Hall 'P 1'
loop_
_atom_site_label
_atom_site_fract_x
_atom_site_fract_y
_atom_site_fract_z
Ag1 0.000 0.000 0.000
S1 0.209 0.209 0.689
S2 0.791 0.791 0.311
O1 0.021 0.717 0.198
O2 0.189 0.189 0.406
O3 0.283 0.979 0.802
O4 0.354 0.354 0.781
O5 0.646 0.646 0.219
O6 0.717 0.021 0.198
O7 0.811 0.811 0.594
O8 0.979 0.283 0.802
```

The 10 most intense peaks (2θ = 10–80°), sorted by position:
2θ/deg, d/Å, I (rel.)
14.69, 6.032, 100
17.15, 5.171, 11
23.12, 3.848, 40
23.34, 3.811, 60
26.40, 3.376, 23
33.25, 2.695, 14
33.45, 2.678, 21
36.10, 2.488, 11
44.73, 2.026, 8
47.49, 1.914, 11



[4]
Starting from a crystal structure in Alexandria, relaxed with GGA-PBE, the X-ray diffraction stick pattern of AgSeS2O8 was calculated for copper Kα.
Intensities are scaled so that the largest is 100.

Structural model:
```
data_AgSeS2O8
_cell_length_a 5.418
_cell_length_b 5.418
_cell_length_c 7.753
_cell_angle_alpha 103.13
_cell_angle_beta 103.13
_cell_angle_gamma 57.08
_space_group_name_H-M_alt 'P 1'
_space_group_IT_number 1
_space_group_name_Hall 'P 1'
loop_
_atom_site_label
_atom_site_fract_x
_atom_site_fract_y
_atom_site_fract_z
Ag1 0.000 0.000 0.000
Se1 0.000 0.000 0.500
S1 0.346 0.346 0.284
S2 0.654 0.654 0.716
O1 0.212 0.686 0.293
O2 0.247 0.247 0.106
O3 0.284 0.284 0.435
O4 0.314 0.788 0.707
O5 0.686 0.212 0.293
O6 0.716 0.716 0.565
O7 0.753 0.753 0.894
O8 0.788 0.314 0.707
```

The 10 most intense peaks (2θ = 10–80°), sorted by position:
2θ/deg, d/Å, I (rel.)
19.31, 4.597, 66
19.68, 4.511, 100
21.67, 4.101, 87
26.53, 3.360, 48
28.99, 3.080, 89
32.97, 2.717, 82
33.99, 2.637, 96
34.65, 2.589, 45
44.17, 2.051, 37
53.32, 1.718, 33



[5]
Starting from a crystal structure in Alexandria, relaxed with GGA-PBE, the X-ray diffraction stick pattern of SmAg2SO6 was calculated for copper Kα.
Intensities are scaled so that the largest is 100.

Structural model:
```
data_SmAg2SO6
_cell_length_a 5.821
_cell_length_b 5.821
_cell_length_c 5.811
_cell_angle_alpha 90.00
_cell_angle_beta 90.00
_cell_angle_gamma 120.00
_space_group_name_H-M_alt 'P 1'
_space_group_IT_number 1
_space_group_name_Hall 'P 1'
loop_
_atom_site_label
_atom_site_fract_x
_atom_site_fract_y
_atom_site_fract_z
Sm1 0.000 0.000 0.000
Ag1 0.333 0.667 0.483
Ag2 0.667 0.333 0.517
S1 0.000 0.000 0.500
O1 0.136 0.272 0.673
O2 0.136 0.864 0.673
O3 0.272 0.136 0.327
O4 0.728 0.864 0.673
O5 0.864 0.136 0.327
O6 0.864 0.728 0.327
```

The 10 most intense peaks (2θ = 10–80°), sorted by position:
2θ/deg, d/Å, I (rel.)
15.25, 5.811, 26
17.59, 5.041, 28
23.36, 3.808, 91
30.73, 2.909, 100
38.95, 2.312, 38
44.04, 2.056, 66
50.43, 1.810, 49
64.00, 1.455, 35
69.13, 1.359, 20
72.71, 1.300, 25



[6]
Starting from a crystal structure in Alexandria, relaxed with GGA-PBE, the X-ray diffraction stick pattern of AgSnS2O8 was calculated for copper Kα.
Intensities are scaled so that the largest is 100.

Structural model:
```
data_AgSnS2O8
_cell_length_a 8.164
_cell_length_b 8.164
_cell_length_c 8.164
_cell_angle_alpha 35.62
_cell_angle_beta 35.62
_cell_angle_gamma 35.62
_space_group_name_H-M_alt 'P 1'
_space_group_IT_number 1
_space_group_name_Hall 'P 1'
loop_
_atom_site_label
_atom_site_fract_x
_atom_site_fract_y
_atom_site_fract_z
Ag1 0.000 0.000 0.000
Sn1 0.500 0.500 0.500
S1 0.250 0.250 0.250
S2 0.750 0.750 0.750
O1 0.055 0.488 0.776
O2 0.224 0.945 0.512
O3 0.314 0.314 0.314
O4 0.488 0.776 0.055
O5 0.512 0.224 0.945
O6 0.686 0.686 0.686
O7 0.776 0.055 0.488
O8 0.945 0.512 0.224
```

The 10 most intense peaks (2θ = 10–80°), sorted by position:
2θ/deg, d/Å, I (rel.)
21.97, 4.046, 20
25.81, 3.451, 100
35.97, 2.497, 34
37.67, 2.388, 27
43.30, 2.090, 25
44.79, 2.024, 25
58.74, 1.572, 19
61.10, 1.517, 17
64.66, 1.441, 10
65.78, 1.420, 10



[7]
Starting from a crystal structure in Alexandria, relaxed with GGA-PBE, the X-ray diffraction stick pattern of SrAgS2O8 was calculated for copper Kα.
Intensities are scaled so that the largest is 100.

Structural model:
```
data_SrAgS2O8
_cell_length_a 7.916
_cell_length_b 7.916
_cell_length_c 7.916
_cell_angle_alpha 36.75
_cell_angle_beta 36.75
_cell_angle_gamma 36.75
_space_group_name_H-M_alt 'P 1'
_space_group_IT_number 1
_space_group_name_Hall 'P 1'
loop_
_atom_site_label
_atom_site_fract_x
_atom_site_fract_y
_atom_site_fract_z
Sr1 0.000 0.000 0.000
Ag1 0.500 0.500 0.500
S1 0.252 0.252 0.252
S2 0.748 0.748 0.748
O1 0.039 0.795 0.473
O2 0.205 0.527 0.961
O3 0.320 0.320 0.320
O4 0.473 0.039 0.795
O5 0.527 0.961 0.205
O6 0.680 0.680 0.680
O7 0.795 0.473 0.039
O8 0.961 0.205 0.527
```

The 10 most intense peaks (2θ = 10–80°), sorted by position:
2θ/deg, d/Å, I (rel.)
22.08, 4.025, 14
26.17, 3.405, 100
35.99, 2.495, 36
38.66, 2.329, 29
43.81, 2.066, 26
45.04, 2.013, 17
58.96, 1.567, 15
62.66, 1.483, 17
64.71, 1.441, 11
66.48, 1.406, 10